Simulated X-ray powder pattern of CsUCl5 for Cu Kα X-rays, from DFT lattice parameters and positions (PBE).
Peak positions follow from Bragg's law for the DFT cell and can differ from measured ones.

Most intense lines, 10 to 80 degrees two-theta, low angle first:
| 2θ (°) | d (Å) | I (rel.) |
| --- | --- | --- |
| 12.16 | 7.277 | 40.4 |
| 14.85 | 5.967 | 91.4 |
| 18.98 | 4.676 | 100.0 |
| 19.34 | 4.590 | 38.3 |
| 24.46 | 3.639 | 36.3 |
| 35.90 | 2.502 | 38.6 |

```
data_CsUCl5
_cell_length_a 12.9623
_cell_length_b 9.1804
_cell_length_c 10.8731
_cell_angle_alpha 90.00
_cell_angle_beta 112.97
_cell_angle_gamma 90.00
_space_group_name_H-M_alt 'C 1 2/c 1'
_space_group_IT_number 15
_space_group_name_Hall '-C 2yc'
loop_
_atom_site_label
_atom_site_type_symbol
_atom_site_fract_x
_atom_site_fract_y
_atom_site_fract_z
Cs1 Cs 0.0000 0.0376 0.2500
U1 U 0.0000 0.5000 0.0000
Cl1 Cl 0.0000 0.4510 0.2500
Cl2 Cl 0.0659 0.2313 0.0020
Cl3 Cl 0.2041 0.4139 0.6037
```